Diffraction record for Ba2Nb2TeO10. The powder XRD pattern is computed, not measured: it uses a structure optimized by DFT (GGA-PBE) and copper Kα.
Lines closer than 0.1° are merged.

Top 10 peaks for 10° ≤ 2θ ≤ 80°, in order of falling intensity:
2theta, I/Imax, (hkl)
26.36, 100, 1 3 1
30.61, 96, 0 2 3
29.85, 80, 2 2 1
22.85, 63, 1 1 2
30.46, 54, 2 0 2
53.60, 51, 2 4 4
44.21, 38, 2 0 4
14.28, 31, 0 2 0
42.59, 30, 1 5 2
48.13, 26, 1 1 5

Crystal structure
```
Ba2Nb2TeO10
1.0
7.281 0.000 0.000
0.000 12.406 0.000
0.000 0.000 9.918
Ba Nb Te O
8 8 4 40
direct
0.018 0.140 0.109
0.018 0.360 0.609
0.482 0.640 0.109
0.482 0.860 0.609
0.518 0.140 0.391
0.518 0.360 0.891
0.982 0.640 0.391
0.982 0.860 0.891
0.210 0.108 0.745
0.210 0.392 0.245
0.290 0.608 0.745
0.290 0.892 0.245
0.710 0.108 0.755
0.710 0.392 0.255
0.790 0.608 0.755
0.790 0.892 0.255
0.000 0.000 0.500
0.000 0.500 0.000
0.500 0.000 0.000
0.500 0.500 0.500
0.056 0.586 0.664
0.056 0.914 0.164
0.075 0.142 0.570
0.075 0.358 0.070
0.121 0.556 0.156
0.121 0.944 0.656
0.220 0.247 0.800
0.220 0.253 0.300
0.235 0.513 0.906
0.235 0.987 0.406
0.265 0.013 0.906
0.265 0.487 0.406
0.280 0.747 0.800
0.280 0.753 0.300
0.379 0.056 0.156
0.379 0.444 0.656
0.425 0.642 0.570
0.425 0.858 0.070
0.444 0.086 0.664
0.444 0.414 0.164
0.556 0.586 0.836
0.556 0.914 0.336
0.575 0.142 0.930
0.575 0.358 0.430
0.621 0.556 0.344
0.621 0.944 0.844
0.720 0.247 0.700
0.720 0.253 0.200
0.735 0.513 0.594
0.735 0.987 0.094
0.765 0.013 0.594
0.765 0.487 0.094
0.780 0.747 0.700
0.780 0.753 0.200
0.879 0.056 0.344
0.879 0.444 0.844
0.925 0.642 0.930
0.925 0.858 0.430
0.944 0.086 0.836
0.944 0.414 0.336
```